# 1
Structure and computed powder X-ray diffraction pattern of Nd2Sm2NCl5 (a PBE-relaxed structure; copper Kα).
No peak broadening, texture or thermal motion is included.

Peak list (8 most intense, 2θ = 10–90°, in order of rising 2θ)
10.5 deg, intensity 46, hkl 2 0 0
11.4 deg, intensity 100, hkl 0 0 1
28.5 deg, intensity 33, hkl 3 1 0
32.0 deg, intensity 43, hkl 6 0 0
32.3 deg, intensity 28, hkl 3 1 1
32.6 deg, intensity 99, hkl 1 1 -2
46.0 deg, intensity 25, hkl 7 1 -2
46.6 deg, intensity 27, hkl 5 1 2

Structural model:
Cell: 17.324 3.778 8.028 Å, 90.00 104.31 90.00°
Space group C2/m (No. 12)
Unique sites:
Nd 0.001 0.000 0.290 x4
Sm 0.144 0.500 0.581 x4
N 0.000 0.500 0.500 x2
Cl 0.000 0.500 0.000 x2
Cl 0.166 0.000 0.843 x4
Cl 0.173 0.000 0.340 x4

# 2
Structure and computed powder X-ray diffraction pattern of Cu2Ag3 (a PBE-relaxed structure; copper Kα).
No peak broadening, texture or thermal motion is included.

Peak list (8 most intense, 2θ = 10–90°, in order of rising 2θ)
38.9 deg, intensity 52, hkl 6 0 -2
39.1 deg, intensity 51, hkl 4 0 2
39.8 deg, intensity 100, hkl 5 1 0
44.6 deg, intensity 70, hkl 1 1 -2
48.3 deg, intensity 27, hkl 10 0 0
67.6 deg, intensity 18, hkl 11 1 -2
67.9 deg, intensity 18, hkl 9 1 2
79.3 deg, intensity 12, hkl 6 2 -2

Structural model:
Cell: 19.097 2.834 5.839 Å, 90.00 99.09 90.00°
Space group Cm (No. 8)
Unique sites:
Cu 0.000 0.000 0.000 x2
Cu 0.092 0.500 0.804 x2
Cu 0.304 0.500 0.917 x2
Cu 0.404 0.000 0.181 x2
Ag 0.097 0.500 0.290 x2
Ag 0.199 0.000 0.082 x2
Ag 0.201 0.000 0.610 x2
Ag 0.307 0.500 0.386 x2
Ag 0.399 0.000 0.728 x2
Ag 0.496 0.500 0.499 x2

# 3
Structure and computed powder X-ray diffraction pattern of Bi4Pt (a PBE-relaxed structure; copper Kα).
No peak broadening, texture or thermal motion is included.

Peak list (8 most intense, 2θ = 10–90°, in order of rising 2θ)
28.4 deg, intensity 78, hkl 0 4 0
30.4 deg, intensity 57, hkl 1 1 2
33.0 deg, intensity 100, hkl 2 2 1
36.7 deg, intensity 34, hkl 1 3 2
39.2 deg, intensity 72, hkl 0 4 2
42.9 deg, intensity 28, hkl 1 1 3
43.1 deg, intensity 27, hkl 3 1 1
62.5 deg, intensity 31, hkl 3 3 3

Structural model:
Cell: 6.737 12.556 6.759 Å, 90.00 90.00 90.00°
Space group Ccce (No. 68, origin choice 2)
Unique sites:
Bi 0.171 0.125 0.076 x16
Pt 0.000 0.250 0.750 x4

# 4
Structure and computed powder X-ray diffraction pattern of PrSmPa2Se3O4 (a PBE-relaxed structure; copper Kα).
No peak broadening, texture or thermal motion is included.

Peak list (8 most intense, 2θ = 10–90°, in order of rising 2θ)
24.7 deg, intensity 80, hkl 2 0 2
31.6 deg, intensity 92, hkl 2 1 1
31.7 deg, intensity 100, hkl 0 1 3
35.4 deg, intensity 38, hkl 2 0 4
37.8 deg, intensity 32, hkl 2 1 3
40.7 deg, intensity 25, hkl 4 0 0
48.2 deg, intensity 30, hkl 2 1 5
52.5 deg, intensity 35, hkl 4 1 3

Structural model:
Cell: 8.865 3.856 12.388 Å, 90.00 90.00 90.00°
Space group Amm2 (No. 38)
Unique sites:
Pr 0.000 0.000 0.000 x2
Sm 0.500 0.000 0.985 x2
Pa 0.260 0.000 0.687 x4
Se 0.190 0.000 0.375 x4
Se 0.500 0.000 0.277 x2
O 0.000 0.000 0.633 x2
O 0.252 0.000 0.088 x4
O 0.500 0.000 0.580 x2

# 5
Structure and computed powder X-ray diffraction pattern of Zr3AlTc2 (a PBE-relaxed structure; copper Kα).
No peak broadening, texture or thermal motion is included.

Peak list (8 most intense, 2θ = 10–90°, in order of rising 2θ)
18.2 deg, intensity 7, hkl 0 0 2
37.9 deg, intensity 53, hkl 1 1 0
38.5 deg, intensity 100, hkl 1 0 3
54.7 deg, intensity 18, hkl 2 0 0
56.5 deg, intensity 8, hkl 0 0 6
68.8 deg, intensity 34, hkl 2 1 3
70.0 deg, intensity 16, hkl 1 1 6
82.5 deg, intensity 10, hkl 2 0 6

Structural model:
Cell: 3.358 3.358 9.774 Å, 90.00 90.00 90.00°
Space group P4/mmm (No. 123)
Unique sites:
Zr 0.000 0.000 0.000 x1
Zr 0.000 0.000 0.325 x2
Al 0.500 0.500 0.500 x1
Tc 0.500 0.500 0.171 x2

# 6
Structure and computed powder X-ray diffraction pattern of Dy3Lu3Te2Os (a PBE-relaxed structure; copper Kα).
No peak broadening, texture or thermal motion is included.

Peak list (8 most intense, 2θ = 10–90°, in order of rising 2θ)
12.5 deg, intensity 28, hkl 1 0 0
31.1 deg, intensity 100, hkl 1 1 1
33.5 deg, intensity 59, hkl 2 1 0
33.6 deg, intensity 82, hkl 2 0 1
38.1 deg, intensity 42, hkl 3 0 0
40.4 deg, intensity 57, hkl 2 1 1
44.8 deg, intensity 26, hkl 0 0 2
61.5 deg, intensity 34, hkl 3 2 1

Structural model:
Cell: 8.1768 8.1768 4.0493 Å, 90.00 90.00 120.00°
Space group P-62m (No. 189)
Unique sites:
Dy 0.0000 0.6108 0.0000 x3
Lu 0.0000 0.2356 0.5000 x3
Te 0.3333 0.6667 0.5000 x2
Os 0.0000 0.0000 0.0000 x1

# 7
Structure and computed powder X-ray diffraction pattern of SrAl5PtAu (a PBE-relaxed structure; copper Kα).
No peak broadening, texture or thermal motion is included.

Peak list (8 most intense, 2θ = 10–90°, in order of rising 2θ)
17.6 deg, intensity 45, hkl 0 0 2
23.9 deg, intensity 43, hkl 0 2 0
24.6 deg, intensity 36, hkl 1 1 0
30.4 deg, intensity 100, hkl 1 1 2
43.4 deg, intensity 32, hkl 0 2 4
43.8 deg, intensity 25, hkl 1 1 4
46.2 deg, intensity 39, hkl 1 3 2
63.2 deg, intensity 21, hkl 2 2 4

Structural model:
Cell: 4.148 7.455 10.072 Å, 90.00 90.00 90.00°
Space group Imm2 (No. 44)
Unique sites:
Sr 0.000 0.000 0.000 x2
Al 0.000 0.183 0.653 x4
Al 0.000 0.194 0.353 x4
Al 0.000 0.500 0.001 x2
Pt 0.000 0.500 0.240 x2
Au 0.000 0.500 0.754 x2

# 8
Structure and computed powder X-ray diffraction pattern of MgZr (a PBE-relaxed structure; copper Kα).
No peak broadening, texture or thermal motion is included.

Peak list (8 most intense, 2θ = 10–90°, in order of rising 2θ)
29.5 deg, intensity 34, hkl 0 1 3
32.6 deg, intensity 35, hkl 1 0 2
34.5 deg, intensity 46, hkl 0 2 0
36.5 deg, intensity 69, hkl 0 1 4
37.0 deg, intensity 100, hkl 1 1 2
41.3 deg, intensity 20, hkl 1 1 3
48.2 deg, intensity 23, hkl 1 2 2
68.8 deg, intensity 21, hkl 1 2 6

Structural model:
Cell: 3.152 5.206 11.172 Å, 90.00 90.00 90.00°
Space group Pmmn (No. 59, origin choice 2)
Unique sites:
Mg 0.250 0.250 0.049 x2
Mg 0.250 0.750 0.203 x2
Zr 0.250 0.250 0.546 x2
Zr 0.250 0.750 0.698 x2

# 9
Structure and computed powder X-ray diffraction pattern of SrNdSn2Pd4 (a PBE-relaxed structure; copper Kα).
No peak broadening, texture or thermal motion is included.

Peak list (8 most intense, 2θ = 10–90°, in order of rising 2θ)
18.3 deg, intensity 21, hkl 0 0 2
28.9 deg, intensity 27, hkl 1 0 2
35.7 deg, intensity 95, hkl 1 0 3
38.9 deg, intensity 100, hkl 1 1 0
53.8 deg, intensity 29, hkl 2 0 3
62.0 deg, intensity 17, hkl 1 0 6
68.4 deg, intensity 28, hkl 2 1 3
70.5 deg, intensity 17, hkl 3 0 0

Structural model:
Cell: 4.6285 4.6285 9.6867 Å, 90.00 90.00 120.00°
Space group P-6m2 (No. 187)
Unique sites:
Sr 0.0000 0.0000 0.0000 x1
Nd 0.3333 0.6667 0.5000 x1
Sn 0.6667 0.3333 0.2600 x2
Pd 0.0000 0.0000 0.3353 x2
Pd 0.3333 0.6667 0.1928 x2

# 10
Structure and computed powder X-ray diffraction pattern of Fe5C2 (a PBE-relaxed structure; copper Kα).
No peak broadening, texture or thermal motion is included.

Peak list (8 most intense, 2θ = 10–90°, in order of rising 2θ)
40.0 deg, intensity 42, hkl 2 0 0
41.5 deg, intensity 55, hkl 1 -2 1
41.7 deg, intensity 42, hkl 0 2 2
44.2 deg, intensity 100, hkl 2 1 0
44.3 deg, intensity 86, hkl 1 0 -5
44.4 deg, intensity 85, hkl 1 0 5
45.7 deg, intensity 61, hkl 1 2 -3
50.8 deg, intensity 38, hkl -1 2 3

Structural model:
Cell: 4.505 4.987 11.562 Å, 97.62 90.19 90.01°
Space group P-1 (No. 2)
Unique sites:
Fe 0.164 0.083 0.152 x2
Fe 0.164 0.418 0.348 x2
Fe 0.168 0.189 0.535 x2
Fe 0.168 0.310 0.964 x2
Fe 0.185 0.249 0.750 x2
Fe 0.322 0.750 0.750 x2
Fe 0.331 0.583 0.152 x2
Fe 0.331 0.918 0.348 x2
Fe 0.332 0.689 0.535 x2
Fe 0.332 0.811 0.965 x2
C 0.066 0.578 0.862 x2
C 0.066 0.921 0.637 x2
C 0.438 0.079 0.864 x2
C 0.439 0.420 0.637 x2

# 11
Structure and computed powder X-ray diffraction pattern of BaNiAg2Se3S (a PBE-relaxed structure; copper Kα).
No peak broadening, texture or thermal motion is included.

Peak list (8 most intense, 2θ = 10–90°, in order of rising 2θ)
26.4 deg, intensity 18, hkl 1 1 -1
28.1 deg, intensity 53, hkl 0 1 1
28.5 deg, intensity 100, hkl 1 0 -2
29.2 deg, intensity 43, hkl -2 1 1
30.2 deg, intensity 23, hkl 1 -2 1
36.0 deg, intensity 19, hkl -2 2 1
36.2 deg, intensity 41, hkl 0 2 -2
36.6 deg, intensity 46, hkl 2 0 0

Structural model:
Cell: 6.244 6.393 6.409 Å, 101.99 110.33 115.31°
Space group P1 (No. 1)
Unique sites:
Ba 0.000 0.000 0.000 x1
Ni 0.047 0.543 0.528 x1
Ag 0.505 0.194 0.709 x1
Ag 0.506 0.803 0.290 x1
Se 0.021 0.173 0.548 x1
Se 0.627 0.469 0.465 x1
Se 0.987 0.530 0.147 x1
S 0.395 0.859 0.872 x1